Entry 1:
Diffraction record for Ba3Co2N4. The powder diffraction line list is simulated, not measured: it uses DFT lattice parameters and positions (GGA-PBE) and Cu Kα.
No peak broadening, texture or thermal motion is included.

Main lines, sorted by position (10° ≤ 2θ ≤ 90°):
23.4°, I = 30.7
24.7°, I = 34.1
27.5°, I = 64.3
29.3°, I = 100.0
34.2°, I = 42.4
35.5°, I = 25.9
36.9°, I = 29.6
37.6°, I = 36.5
38.5°, I = 34.4
43.7°, I = 47.6
59.0°, I = 20.6
59.7°, I = 18.4

Atomic structure:
```
data_Ba3Co2N4
_cell_length_a 7.863
_cell_length_b 7.863
_cell_length_c 5.509
_cell_angle_alpha 93.77
_cell_angle_beta 93.77
_cell_angle_gamma 74.88
_space_group_name_H-M_alt 'P 1'
_space_group_IT_number 1
_space_group_name_Hall 'P 1'
loop_
_atom_site_label
_atom_site_fract_x
_atom_site_fract_y
_atom_site_fract_z
_atom_site_occupancy
Ba1 0.126 0.874 0.750 1
Ba2 0.222 0.475 0.412 1
Ba3 0.475 0.222 0.912 1
Ba4 0.525 0.778 0.088 1
Ba5 0.778 0.525 0.588 1
Ba6 0.874 0.126 0.250 1
Co1 0.086 0.310 0.914 1
Co2 0.310 0.086 0.414 1
Co3 0.690 0.914 0.586 1
Co4 0.914 0.690 0.086 1
N1 0.124 0.545 0.919 1
N2 0.134 0.210 0.614 1
N3 0.210 0.134 0.114 1
N4 0.455 0.876 0.581 1
N5 0.545 0.124 0.419 1
N6 0.790 0.866 0.886 1
N7 0.866 0.790 0.386 1
N8 0.876 0.455 0.081 1
```

---

Entry 2:
Diffraction record for Th3TlF13. The powder diffraction line list is simulated, not measured: it uses DFT lattice parameters and positions (GGA-PBE) and Cu Kα.
No peak broadening, texture or thermal motion is included.

Main lines, sorted by position (10° ≤ 2θ ≤ 90°):
18.9°, I = 40.0
23.0°, I = 41.8
23.5°, I = 60.2
24.5°, I = 100.0
25.7°, I = 74.5
25.9°, I = 35.3
26.6°, I = 58.3
27.9°, I = 31.2
29.7°, I = 36.4
43.4°, I = 49.7
45.0°, I = 74.6
51.4°, I = 28.7

Atomic structure:
```
data_Th3TlF13
_cell_length_a 8.282
_cell_length_b 7.538
_cell_length_c 8.737
_cell_angle_alpha 90.00
_cell_angle_beta 90.00
_cell_angle_gamma 90.00
_space_group_name_H-M_alt 'P 1'
_space_group_IT_number 1
_space_group_name_Hall 'P 1'
loop_
_atom_site_label
_atom_site_fract_x
_atom_site_fract_y
_atom_site_fract_z
_atom_site_occupancy
Th1 0.000 0.107 0.000 1
Th2 0.000 0.893 0.500 1
Th3 0.252 0.398 0.336 1
Th4 0.252 0.602 0.836 1
Th5 0.748 0.398 0.336 1
Th6 0.748 0.602 0.836 1
Tl1 0.500 0.102 0.697 1
Tl2 0.500 0.898 0.197 1
F1 0.000 0.032 0.736 1
F2 0.000 0.359 0.181 1
F3 0.000 0.406 0.457 1
F4 0.000 0.594 0.957 1
F5 0.000 0.641 0.681 1
F6 0.000 0.968 0.236 1
F7 0.171 0.306 0.866 1
F8 0.171 0.694 0.366 1
F9 0.193 0.118 0.456 1
F10 0.193 0.882 0.956 1
F11 0.253 0.176 0.143 1
F12 0.253 0.824 0.643 1
F13 0.301 0.454 0.597 1
F14 0.301 0.546 0.097 1
F15 0.500 0.232 0.367 1
F16 0.500 0.439 0.846 1
F17 0.500 0.561 0.346 1
F18 0.500 0.768 0.867 1
F19 0.699 0.454 0.597 1
F20 0.699 0.546 0.097 1
F21 0.747 0.176 0.143 1
F22 0.747 0.824 0.643 1
F23 0.807 0.118 0.456 1
F24 0.807 0.882 0.956 1
F25 0.829 0.306 0.866 1
F26 0.829 0.694 0.366 1
```

---

Entry 3:
Diffraction record for Lu2ZnPt. The powder diffraction line list is simulated, not measured: it uses DFT lattice parameters and positions (GGA-PBE) and Cu Kα.
No peak broadening, texture or thermal motion is included.

Main lines, sorted by position (10° ≤ 2θ ≤ 90°):
22.3°, I = 9.0
25.8°, I = 2.3
36.8°, I = 100.0
43.5°, I = 5.0
53.1°, I = 17.6
58.3°, I = 2.2
59.9°, I = 1.0
66.3°, I = 36.0
70.9°, I = 1.7
78.4°, I = 11.3
82.7°, I = 1.7
89.9°, I = 16.7

Atomic structure:
```
data_Lu2ZnPt
_cell_length_a 4.882
_cell_length_b 4.882
_cell_length_c 4.882
_cell_angle_alpha 60.00
_cell_angle_beta 60.00
_cell_angle_gamma 60.00
_space_group_name_H-M_alt 'P 1'
_space_group_IT_number 1
_space_group_name_Hall 'P 1'
loop_
_atom_site_label
_atom_site_fract_x
_atom_site_fract_y
_atom_site_fract_z
_atom_site_occupancy
Lu1 0.250 0.250 0.250 1
Lu2 0.750 0.750 0.750 1
Zn1 0.000 0.000 0.000 1
Pt1 0.500 0.500 0.500 1
```

---

Entry 4:
Diffraction record for V5S4. The powder diffraction line list is simulated, not measured: it uses DFT lattice parameters and positions (GGA-PBE) and Cu Kα.
No peak broadening, texture or thermal motion is included.

Main lines, sorted by position (10° ≤ 2θ ≤ 90°):
13.9°, I = 88.0
19.7°, I = 12.6
36.2°, I = 68.4
41.5°, I = 100.0
42.7°, I = 23.2
45.1°, I = 64.4
46.4°, I = 39.7
50.9°, I = 48.4
58.5°, I = 19.8
65.7°, I = 13.8
76.8°, I = 23.3
84.2°, I = 16.9

Atomic structure:
```
data_V5S4
_cell_length_a 6.551
_cell_length_b 6.551
_cell_length_c 6.551
_cell_angle_alpha 93.33
_cell_angle_beta 93.33
_cell_angle_gamma 152.12
_space_group_name_H-M_alt 'P 1'
_space_group_IT_number 1
_space_group_name_Hall 'P 1'
loop_
_atom_site_label
_atom_site_fract_x
_atom_site_fract_y
_atom_site_fract_z
_atom_site_occupancy
V1 0.000 0.000 0.000 1
V2 0.300 0.621 0.921 1
V3 0.379 0.300 0.679 1
V4 0.621 0.700 0.321 1
V5 0.700 0.379 0.079 1
S1 0.064 0.728 0.792 1
S2 0.272 0.064 0.335 1
S3 0.728 0.936 0.665 1
S4 0.936 0.272 0.208 1
```

---

Entry 5:
Diffraction record for Er5Pb3. The powder diffraction line list is simulated, not measured: it uses DFT lattice parameters and positions (GGA-PBE) and Cu Kα.
No peak broadening, texture or thermal motion is included.

Main lines, sorted by position (10° ≤ 2θ ≤ 90°):
27.1°, I = 23.6
30.3°, I = 24.6
33.3°, I = 100.0
33.7°, I = 74.9
34.5°, I = 42.5
44.1°, I = 16.3
49.1°, I = 16.8
52.0°, I = 29.0
55.9°, I = 12.2
64.9°, I = 11.5
66.4°, I = 20.7
67.4°, I = 12.5

Atomic structure:
```
data_Er5Pb3
_cell_length_a 8.998
_cell_length_b 8.998
_cell_length_c 6.583
_cell_angle_alpha 90.00
_cell_angle_beta 90.00
_cell_angle_gamma 120.00
_space_group_name_H-M_alt 'P 1'
_space_group_IT_number 1
_space_group_name_Hall 'P 1'
loop_
_atom_site_label
_atom_site_fract_x
_atom_site_fract_y
_atom_site_fract_z
_atom_site_occupancy
Er1 0.000 0.240 0.250 1
Er2 0.000 0.760 0.750 1
Er3 0.240 0.000 0.250 1
Er4 0.240 0.240 0.750 1
Er5 0.333 0.667 0.000 1
Er6 0.333 0.667 0.500 1
Er7 0.667 0.333 0.000 1
Er8 0.667 0.333 0.500 1
Er9 0.760 0.000 0.750 1
Er10 0.760 0.760 0.250 1
Pb1 0.000 0.392 0.750 1
Pb2 0.000 0.608 0.250 1
Pb3 0.392 0.000 0.750 1
Pb4 0.392 0.392 0.250 1
Pb5 0.608 0.000 0.250 1
Pb6 0.608 0.608 0.750 1
```

---

Entry 6:
Diffraction record for CsCuCl3. The powder diffraction line list is simulated, not measured: it uses DFT lattice parameters and positions (GGA-PBE) and Cu Kα.
No peak broadening, texture or thermal motion is included.

Main lines, sorted by position (10° ≤ 2θ ≤ 90°):
20.0°, I = 65.1
24.1°, I = 78.1
29.0°, I = 17.5
29.6°, I = 14.6
31.5°, I = 100.0
32.2°, I = 30.7
40.1°, I = 17.8
40.7°, I = 32.9
47.8°, I = 16.6
49.4°, I = 14.0
49.7°, I = 15.4
53.0°, I = 19.0

Atomic structure:
```
data_CsCuCl3
_cell_length_a 7.380
_cell_length_b 7.380
_cell_length_c 18.491
_cell_angle_alpha 90.00
_cell_angle_beta 90.00
_cell_angle_gamma 120.00
_space_group_name_H-M_alt 'P 1'
_space_group_IT_number 1
_space_group_name_Hall 'P 1'
loop_
_atom_site_label
_atom_site_fract_x
_atom_site_fract_y
_atom_site_fract_z
_atom_site_occupancy
Cs1 0.292 0.646 0.083 1
Cs2 0.354 0.646 0.417 1
Cs3 0.354 0.708 0.750 1
Cs4 0.646 0.292 0.250 1
Cs5 0.646 0.354 0.917 1
Cs6 0.708 0.354 0.583 1
Cu1 0.000 0.067 0.833 1
Cu2 0.000 0.933 0.333 1
Cu3 0.067 0.000 0.500 1
Cu4 0.067 0.067 0.667 1
Cu5 0.933 0.000 0.000 1
Cu6 0.933 0.933 0.167 1
Cl1 0.104 0.208 0.250 1
Cl2 0.104 0.896 0.917 1
Cl3 0.148 0.359 0.906 1
Cl4 0.148 0.789 0.261 1
Cl5 0.208 0.104 0.083 1
Cl6 0.211 0.359 0.594 1
Cl7 0.211 0.852 0.573 1
Cl8 0.359 0.148 0.427 1
Cl9 0.359 0.211 0.739 1
Cl10 0.641 0.789 0.239 1
Cl11 0.641 0.852 0.927 1
Cl12 0.789 0.148 0.073 1
Cl13 0.789 0.641 0.094 1
Cl14 0.792 0.896 0.583 1
Cl15 0.852 0.211 0.761 1
Cl16 0.852 0.641 0.406 1
Cl17 0.896 0.104 0.417 1
Cl18 0.896 0.792 0.750 1
```

---

Entry 7:
Diffraction record for Mg14MnSi. The powder diffraction line list is simulated, not measured: it uses DFT lattice parameters and positions (GGA-PBE) and Cu Kα.
No peak broadening, texture or thermal motion is included.

Main lines, sorted by position (10° ≤ 2θ ≤ 90°):
16.5°, I = 4.3
18.7°, I = 2.9
33.3°, I = 24.2
35.2°, I = 27.4
37.8°, I = 100.0
49.2°, I = 15.3
59.6°, I = 16.5
64.9°, I = 18.9
71.1°, I = 18.7
72.8°, I = 13.1
80.8°, I = 3.2
83.9°, I = 2.9

Atomic structure:
```
data_Mg14MnSi
_cell_length_a 6.207
_cell_length_b 6.207
_cell_length_c 10.210
_cell_angle_alpha 90.00
_cell_angle_beta 90.00
_cell_angle_gamma 120.00
_space_group_name_H-M_alt 'P 1'
_space_group_IT_number 1
_space_group_name_Hall 'P 1'
loop_
_atom_site_label
_atom_site_fract_x
_atom_site_fract_y
_atom_site_fract_z
_atom_site_occupancy
Mg1 0.000 0.000 0.248 1
Mg2 0.000 0.000 0.752 1
Mg3 0.007 0.504 0.249 1
Mg4 0.007 0.504 0.751 1
Mg5 0.332 0.166 0.500 1
Mg6 0.334 0.167 0.000 1
Mg7 0.496 0.504 0.249 1
Mg8 0.496 0.504 0.751 1
Mg9 0.496 0.993 0.249 1
Mg10 0.496 0.993 0.751 1
Mg11 0.833 0.167 0.000 1
Mg12 0.833 0.666 0.000 1
Mg13 0.834 0.166 0.500 1
Mg14 0.834 0.668 0.500 1
Mn1 0.333 0.667 0.000 1
Si1 0.333 0.667 0.500 1
```

---

Entry 8:
Diffraction record for Ga2C3N6. The powder diffraction line list is simulated, not measured: it uses DFT lattice parameters and positions (GGA-PBE) and Cu Kα.
No peak broadening, texture or thermal motion is included.

Main lines, sorted by position (10° ≤ 2θ ≤ 90°):
19.1°, I = 100.0
22.1°, I = 45.9
31.5°, I = 21.1
32.9°, I = 21.6
37.0°, I = 92.0
49.3°, I = 9.7
50.6°, I = 32.7
50.7°, I = 9.3
56.0°, I = 23.3
59.7°, I = 18.0
68.8°, I = 11.5
69.1°, I = 16.0

Atomic structure:
```
data_Ga2C3N6
_cell_length_a 9.897
_cell_length_b 9.897
_cell_length_c 9.897
_cell_angle_alpha 33.40
_cell_angle_beta 33.40
_cell_angle_gamma 33.40
_space_group_name_H-M_alt 'P 1'
_space_group_IT_number 1
_space_group_name_Hall 'P 1'
loop_
_atom_site_label
_atom_site_fract_x
_atom_site_fract_y
_atom_site_fract_z
_atom_site_occupancy
Ga1 0.164 0.164 0.164 1
Ga2 0.336 0.336 0.336 1
Ga3 0.664 0.664 0.664 1
Ga4 0.836 0.836 0.836 1
C1 0.059 0.750 0.441 1
C2 0.250 0.559 0.941 1
C3 0.441 0.059 0.750 1
C4 0.559 0.941 0.250 1
C5 0.750 0.441 0.059 1
C6 0.941 0.250 0.559 1
N1 0.039 0.649 0.434 1
N2 0.066 0.851 0.461 1
N3 0.149 0.539 0.934 1
N4 0.351 0.566 0.961 1
N5 0.434 0.039 0.649 1
N6 0.461 0.066 0.851 1
N7 0.539 0.934 0.149 1
N8 0.566 0.961 0.351 1
N9 0.649 0.434 0.039 1
N10 0.851 0.461 0.066 1
N11 0.934 0.149 0.539 1
N12 0.961 0.351 0.566 1
```